Computed powder X-ray diffraction pattern
Compound: Sr5MgCd2
Radiation: Cu Kα
Structure: a cell relaxed with PBE

Top 12 peaks for 10 to 80 degrees two-theta, low angle first:
| two_theta | I_rel |
| --- | --- |
| 10.94 | 269 |
| 27.71 | 1000 |
| 29.74 | 173 |
| 31.52 | 363 |
| 33.24 | 131 |
| 35.65 | 135 |
| 36.52 | 69 |
| 44.88 | 148 |
| 46.46 | 129 |
| 55.84 | 89 |
| 57.91 | 128 |
| 58.19 | 83 |

Crystal structure
Cell lengths 8.9754, 8.9754, 16.1719 Å; angles 90.00, 90.00, 90.00 degrees
Space group I4/mcm (No. 140)
Inequivalent atoms, fractional coordinates:
Sr 0.0000 0.0000 0.0000 [4 per cell]
Sr 0.1649 0.3351 0.1445 [16 per cell]
Mg 0.0000 0.0000 0.2500 [4 per cell]
Cd 0.1256 0.3744 0.5000 [8 per cell]